Zn6ReO8: calculated XRD peak list (CuKα), based on a DFT-relaxed cell (GGA-PBE, OQMD).

Largest 8 diffraction maxima, by angle, 10° ≤ 2θ ≤ 90°:
hkl  d_spacing  Position (°2θ)  I (rel.)
1 1 1  4.972  17.84  79
3 1 1  2.597  34.54  41
2 2 2  2.486  36.13  87
4 0 0  2.153  41.96  100
3 3 1  1.976  45.93  17
4 4 0  1.522  60.85  61
6 2 2  1.298  72.86  36
4 4 4  1.243  76.66  19

Crystal structure
```
data_Zn6ReO8
_symmetry_space_group_name_H-M 'F m -3 m'
_symmetry_Int_Tables_number 225
_symmetry_space_group_name_Hall '-F 4 2 3'
_cell_length_a 8.612
_cell_length_b 8.612
_cell_length_c 8.612
_cell_angle_alpha 90.00
_cell_angle_beta 90.00
_cell_angle_gamma 90.00
loop_
_atom_site_label
_atom_site_type_symbol
_atom_site_fract_x
_atom_site_fract_y
_atom_site_fract_z
Zn1 Zn 0.000 0.250 0.250
Re1 Re 0.000 0.000 0.000
O1 O 0.000 0.000 0.237
O2 O 0.250 0.250 0.250
```

---

TbHoP2Ir2O2: calculated XRD peak list (CuKα), based on a DFT-relaxed cell (GGA-PBE, OQMD).

Largest 8 diffraction maxima, by angle, 10° ≤ 2θ ≤ 90°:
hkl  d_spacing  Position (°2θ)  I (rel.)
0 0 1  7.990  11.07  33
0 0 2  3.995  22.25  31
1 0 2  2.809  31.86  60
0 0 3  2.663  33.65  28
1 1 1  2.637  34.00  100
1 1 2  2.289  39.36  57
2 0 0  1.975  45.94  49
1 1 4  1.625  56.65  48

Crystal structure
```
data_TbHoP2Ir2O2
_symmetry_space_group_name_H-M 'P 4 m m'
_symmetry_Int_Tables_number 99
_symmetry_space_group_name_Hall 'P 4 -2'
_cell_length_a 3.951
_cell_length_b 3.951
_cell_length_c 7.990
_cell_angle_alpha 90.00
_cell_angle_beta 90.00
_cell_angle_gamma 90.00
loop_
_atom_site_label
_atom_site_type_symbol
_atom_site_fract_x
_atom_site_fract_y
_atom_site_fract_z
Tb1 Tb 0.000 0.000 0.000
Ho1 Ho 0.500 0.500 0.271
P1 P 0.000 0.000 0.472
P2 P 0.500 0.500 0.802
Ir1 Ir 0.000 0.500 0.637
O1 O 0.000 0.500 0.139
```

---

Ho2ErMg3CuIr2: calculated XRD peak list (CuKα), based on a DFT-relaxed cell (GGA-PBE, OQMD).

Largest 8 diffraction maxima, by angle, 10° ≤ 2θ ≤ 90°:
hkl  d_spacing  Position (°2θ)  I (rel.)
0 1 1  6.375  13.89  48
0 0 2  3.680  24.18  35
1 3 1  2.688  33.33  100
1 4 0  2.477  36.26  81
0 1 3  2.409  37.32  24
0 6 0  2.125  42.54  29
1 4 2  2.055  44.06  21
0 7 1  1.768  51.70  20

Crystal structure
```
data_Ho2ErMg3CuIr2
_symmetry_space_group_name_H-M 'A m m 2'
_symmetry_Int_Tables_number 38
_symmetry_space_group_name_Hall 'A 2 -2'
_cell_length_a 3.937
_cell_length_b 12.741
_cell_length_c 7.366
_cell_angle_alpha 90.00
_cell_angle_beta 90.00
_cell_angle_gamma 90.00
loop_
_atom_site_label
_atom_site_type_symbol
_atom_site_fract_x
_atom_site_fract_y
_atom_site_fract_z
Ho1 Ho 0.000 0.208 0.000
Er1 Er 0.000 0.000 0.376
Mg1 Mg 0.500 0.000 0.040
Mg2 Mg 0.500 0.124 0.668
Cu1 Cu 0.000 0.000 0.792
Ir1 Ir 0.500 0.166 0.292
```

---

CsTbGaSe3: calculated XRD peak list (CuKα), based on a DFT-relaxed cell (GGA-PBE, OQMD).

Largest 8 diffraction maxima, by angle, 10° ≤ 2θ ≤ 90°:
hkl  d_spacing  Position (°2θ)  I (rel.)
0 2 0  7.826  11.31  84
0 2 2  4.512  19.67  41
1 3 0  3.446  25.85  47
1 3 1  3.290  27.10  100
1 3 2  2.924  30.57  54
1 5 2  2.342  38.44  77
2 0 0  2.296  39.25  44
2 0 4  1.765  51.80  52

Crystal structure
```
data_CsTbGaSe3
_symmetry_space_group_name_H-M 'C m c m'
_symmetry_Int_Tables_number 63
_symmetry_space_group_name_Hall '-C 2c 2'
_cell_length_a 4.591
_cell_length_b 15.653
_cell_length_c 11.045
_cell_angle_alpha 90.00
_cell_angle_beta 90.00
_cell_angle_gamma 90.00
loop_
_atom_site_label
_atom_site_type_symbol
_atom_site_fract_x
_atom_site_fract_y
_atom_site_fract_z
Cs1 Cs 0.000 0.245 0.250
Tb1 Tb 0.000 0.500 0.000
Ga1 Ga 0.000 0.019 0.750
Se1 Se 0.000 0.114 0.561
Se2 Se 0.000 0.446 0.750
```

---

Mg2Cd2Te3Se: calculated XRD peak list (CuKα), based on a DFT-relaxed cell (GGA-PBE, OQMD).

Largest 8 diffraction maxima, by angle, 10° ≤ 2θ ≤ 90°:
hkl  d_spacing  Position (°2θ)  I (rel.)
0 0 1  5.745  15.42  13
3 1 -1  3.706  24.01  100
2 2 -1  2.805  31.90  8
4 2 0  2.270  39.71  74
1 3 1  1.938  46.89  32
5 1 1  1.932  47.05  16
7 3 -1  1.472  63.17  13
6 4 -2  1.311  72.01  16

Crystal structure
```
data_Mg2Cd2Te3Se
_symmetry_space_group_name_H-M 'C 1 2 1'
_symmetry_Int_Tables_number 5
_symmetry_space_group_name_Hall 'C 2y'
_cell_length_a 14.327
_cell_length_b 6.427
_cell_length_c 6.431
_cell_angle_alpha 90.00
_cell_angle_beta 116.67
_cell_angle_gamma 90.00
loop_
_atom_site_label
_atom_site_type_symbol
_atom_site_fract_x
_atom_site_fract_y
_atom_site_fract_z
Mg1 Mg 0.119 0.000 0.383
Cd1 Cd 0.121 0.524 0.862
Te1 Te 0.000 0.256 0.000
Te2 Te 0.250 0.264 0.740
Se1 Se 0.000 0.772 0.500
```

---

K3HgCl6: calculated XRD peak list (CuKα), based on a DFT-relaxed cell (GGA-PBE, OQMD).

Largest 8 diffraction maxima, by angle, 10° ≤ 2θ ≤ 90°:
hkl  d_spacing  Position (°2θ)  I (rel.)
1 1 1  6.316  14.02  97
2 0 0  5.470  16.20  97
2 2 0  3.868  22.99  100
3 1 1  3.298  27.03  48
4 0 0  2.735  32.75  93
4 2 0  2.446  36.74  49
4 2 2  2.233  40.39  45
4 4 0  1.934  46.99  61

Crystal structure
```
data_K3HgCl6
_symmetry_space_group_name_H-M 'F m -3 m'
_symmetry_Int_Tables_number 225
_symmetry_space_group_name_Hall '-F 4 2 3'
_cell_length_a 10.939
_cell_length_b 10.939
_cell_length_c 10.939
_cell_angle_alpha 90.00
_cell_angle_beta 90.00
_cell_angle_gamma 90.00
loop_
_atom_site_label
_atom_site_type_symbol
_atom_site_fract_x
_atom_site_fract_y
_atom_site_fract_z
K1 K 0.000 0.000 0.000
K2 K 0.250 0.250 0.250
Hg1 Hg 0.000 0.000 0.500
Cl1 Cl 0.000 0.000 0.264
```

---

La6Ni6P17: calculated XRD peak list (CuKα), based on a DFT-relaxed cell (GGA-PBE, OQMD).

Largest 8 diffraction maxima, by angle, 10° ≤ 2θ ≤ 90°:
hkl  d_spacing  Position (°2θ)  I (rel.)
3 1 0  3.217  27.73  39
2 2 2  2.936  30.44  100
4 0 0  2.543  35.29  79
3 3 0  2.398  37.51  61
4 2 2  2.076  43.59  20
4 4 0  1.798  50.77  37
6 2 2  1.534  60.36  39
5 5 2  1.384  67.69  21

Crystal structure
```
data_La6Ni6P17
_symmetry_space_group_name_H-M 'I -4 3 m'
_symmetry_Int_Tables_number 217
_symmetry_space_group_name_Hall 'I -4 2 3'
_cell_length_a 10.172
_cell_length_b 10.172
_cell_length_c 10.172
_cell_angle_alpha 90.00
_cell_angle_beta 90.00
_cell_angle_gamma 90.00
loop_
_atom_site_label
_atom_site_type_symbol
_atom_site_fract_x
_atom_site_fract_y
_atom_site_fract_z
La1 La 0.000 0.000 0.290
Ni1 Ni 0.000 0.250 0.500
P1 P 0.000 0.000 0.000
P2 P 0.067 0.299 0.299
P3 P 0.214 0.214 0.786
```

---

Pt2O2F: calculated XRD peak list (CuKα), based on a DFT-relaxed cell (GGA-PBE, OQMD).

Largest 8 diffraction maxima, by angle, 10° ≤ 2θ ≤ 90°:
hkl  d_spacing  Position (°2θ)  I (rel.)
2 2 0  4.004  22.20  100
1 1 1  3.351  26.60  33
2 4 0  2.967  30.12  33
1 3 1  2.849  31.40  95
3 1 1  2.359  38.14  31
1 5 1  2.285  39.44  64
4 2 0  2.245  40.18  34
5 1 1  1.665  55.17  27

Crystal structure
```
data_Pt2O2F
_symmetry_space_group_name_H-M 'F d d 2'
_symmetry_Int_Tables_number 43
_symmetry_space_group_name_Hall 'F 2 -2d'
_cell_length_a 9.398
_cell_length_b 15.302
_cell_length_c 3.689
_cell_angle_alpha 90.00
_cell_angle_beta 90.00
_cell_angle_gamma 90.00
loop_
_atom_site_label
_atom_site_type_symbol
_atom_site_fract_x
_atom_site_fract_y
_atom_site_fract_z
Pt1 Pt 0.047 0.304 0.000
O1 O 0.112 0.396 0.679
F1 F 0.000 0.000 0.728
```

---

Tb2Ho2Br3: calculated XRD peak list (CuKα), based on a DFT-relaxed cell (GGA-PBE, OQMD).

Largest 8 diffraction maxima, by angle, 10° ≤ 2θ ≤ 90°:
hkl  d_spacing  Position (°2θ)  I (rel.)
0 8 0  3.533  25.21  16
0 0 1  3.508  25.39  14
1 7 0  2.671  33.55  52
0 8 1  2.490  36.08  100
1 7 1  2.125  42.54  15
1 15 1  1.504  61.66  20
1 7 2  1.466  63.44  16
2 8 1  1.449  64.29  18

Crystal structure
```
data_Tb2Ho2Br3
_symmetry_space_group_name_H-M 'C m m m'
_symmetry_Int_Tables_number 65
_symmetry_space_group_name_Hall '-C 2 2'
_cell_length_a 3.564
_cell_length_b 28.248
_cell_length_c 3.508
_cell_angle_alpha 90.00
_cell_angle_beta 90.00
_cell_angle_gamma 90.00
loop_
_atom_site_label
_atom_site_type_symbol
_atom_site_fract_x
_atom_site_fract_y
_atom_site_fract_z
Tb1 Tb 0.000 0.202 0.000
Ho1 Ho 0.000 0.064 0.000
Br1 Br 0.000 0.378 0.500
Br2 Br 0.000 0.500 0.500
```

---

GdAl8SiAu4: calculated XRD peak list (CuKα), based on a DFT-relaxed cell (GGA-PBE, OQMD).

Largest 8 diffraction maxima, by angle, 10° ≤ 2θ ≤ 90°:
hkl  d_spacing  Position (°2θ)  I (rel.)
1 1 4  3.668  24.26  90
1 1 6  3.190  27.97  100
2 0 0  3.011  29.67  63
2 2 0  2.129  42.46  60
2 0 10  2.085  43.40  54
1 1 14  1.857  49.05  49
3 1 6  1.771  51.61  38
3 1 14  1.400  66.85  39

Crystal structure
```
data_GdAl8SiAu4
_symmetry_space_group_name_H-M 'I 4/m m m'
_symmetry_Int_Tables_number 139
_symmetry_space_group_name_Hall '-I 4 2'
_cell_length_a 6.022
_cell_length_b 6.022
_cell_length_c 28.897
_cell_angle_alpha 90.00
_cell_angle_beta 90.00
_cell_angle_gamma 90.00
loop_
_atom_site_label
_atom_site_type_symbol
_atom_site_fract_x
_atom_site_fract_y
_atom_site_fract_z
Gd1 Gd 0.000 0.500 0.250
Al1 Al 0.248 0.248 0.157
Al2 Al 0.250 0.250 0.053
Si1 Si 0.000 0.000 0.208
Au1 Au 0.000 0.000 0.000
Au2 Au 0.000 0.000 0.292
Au3 Au 0.000 0.000 0.500
Au4 Au 0.000 0.500 0.105
```

---

DyTmIn4Cu2: calculated XRD peak list (CuKα), based on a DFT-relaxed cell (GGA-PBE, OQMD).

Largest 8 diffraction maxima, by angle, 10° ≤ 2θ ≤ 90°:
hkl  d_spacing  Position (°2θ)  I (rel.)
0 1 3  2.763  32.40  23
2 1 1  2.717  32.97  100
1 1 3  2.586  34.69  64
1 0 4  2.512  35.74  27
3 0 2  2.222  40.60  26
2 1 3  2.206  40.90  19
0 2 0  2.186  41.30  35
0 1 7  1.443  64.60  17

Crystal structure
```
data_DyTmIn4Cu2
_symmetry_space_group_name_H-M 'A m m 2'
_symmetry_Int_Tables_number 38
_symmetry_space_group_name_Hall 'A 2 -2'
_cell_length_a 7.329
_cell_length_b 4.373
_cell_length_c 10.698
_cell_angle_alpha 90.00
_cell_angle_beta 90.00
_cell_angle_gamma 90.00
loop_
_atom_site_label
_atom_site_type_symbol
_atom_site_fract_x
_atom_site_fract_y
_atom_site_fract_z
Dy1 Dy 0.000 0.000 0.000
Tm1 Tm 0.500 0.000 0.141
In1 In 0.203 0.000 0.708
In2 In 0.299 0.000 0.433
Cu1 Cu 0.000 0.000 0.283
Cu2 Cu 0.500 0.000 0.859
```

---

Dy4Er3Te2Ir2: calculated XRD peak list (CuKα), based on a DFT-relaxed cell (GGA-PBE, OQMD).

Largest 8 diffraction maxima, by angle, 10° ≤ 2θ ≤ 90°:
hkl  d_spacing  Position (°2θ)  I (rel.)
0 2 0  7.848  11.28  22
1 1 2  2.966  30.13  37
0 3 3  2.699  33.19  44
1 4 1  2.663  33.65  100
1 3 2  2.616  34.28  47
1 0 3  2.458  36.56  23
1 2 3  2.345  38.38  27
2 0 0  1.963  46.24  33

Crystal structure
```
data_Dy4Er3Te2Ir2
_symmetry_space_group_name_H-M 'I m m 2'
_symmetry_Int_Tables_number 44
_symmetry_space_group_name_Hall 'I 2 -2'
_cell_length_a 3.928
_cell_length_b 15.695
_cell_length_c 9.453
_cell_angle_alpha 90.00
_cell_angle_beta 90.00
_cell_angle_gamma 90.00
loop_
_atom_site_label
_atom_site_type_symbol
_atom_site_fract_x
_atom_site_fract_y
_atom_site_fract_z
Dy1 Dy 0.000 0.132 0.000
Dy2 Dy 0.000 0.354 0.149
Er1 Er 0.000 0.000 0.418
Er2 Er 0.000 0.316 0.790
Te1 Te 0.000 0.000 0.754
Te2 Te 0.000 0.500 0.654
Ir1 Ir 0.000 0.238 0.489
```